For Li3ZrSc3Se8, a cell relaxed with GGA-PBE gives the simulated powder X-ray diffraction pattern in this record (CuKα).
Kinematic intensities with the Lorentz-polarization factor, no thermal factor.

Cell and atoms:
Cell: 7.7111 7.7111 19.3714 Å, 90.00 90.00 120.00°
Space group R-3m (No. 166, hexagonal axes)
Inequivalent atoms, fractional coordinates:
Li 0.0000 0.5000 0.0000
Zr 0.0000 0.0000 0.5000
Sc 0.0000 0.5000 0.5000
Se 0.0000 0.0000 0.2476
Se 0.9999 0.5000 0.2472

Most intense lines, 10° ≤ 2θ ≤ 90°, sorted by position:
(hkl), two_theta, Rel. int.
0 0 3, 13.71, 22
2 0 2, 28.27, 29
0 2 4, 32.57, 100
2 0 8, 46.32, 36
2 2 0, 47.14, 35
4 0 4, 58.48, 18
0 4 8, 68.23, 11
2 2 12, 77.05, 15
2 4 4, 78.29, 15
4 2 8, 87.08, 11